Record 1
Starting from a crystal structure in the Materials Project, relaxed with GGA-PBE, the PXRD pattern of LiTi3O6 was calculated for Cu Kα (weighted mean of Kα1 and Kα2).
Neutral-atom scattering factors, no anomalous dispersion.

Largest 6 diffraction maxima, low angle first, 5 to 70 degrees two-theta:
- 2θ 21.27, intensity 57
- 2θ 22.18, intensity 100
- 2θ 30.19, intensity 72
- 2θ 35.70, intensity 97
- 2θ 40.56, intensity 59
- 2θ 52.22, intensity 46

Atomic structure:
a = 7.2738 Å, b = 7.2738 Å, c = 5.0031 Å
α = 92.45°, β = 92.45°, γ = 23.50°
Fractional coordinates of all 10 atoms:
Li 0.0000 0.0000 0.0000
Ti 0.1330 0.1330 0.4144
Ti 0.4382 0.4382 0.4654
Ti 0.7826 0.7826 0.9352
O 0.0148 0.0148 0.6321
O 0.2183 0.2183 0.1189
O 0.3558 0.3558 0.7596
O 0.5548 0.5548 0.2251
O 0.6906 0.6906 0.6214
O 0.8861 0.8861 0.2392


Record 2
Starting from a crystal structure in the Materials Project, relaxed with GGA-PBE, the PXRD pattern of LiTi3O4 was calculated for Cu Kα (weighted mean of Kα1 and Kα2).
Neutral-atom scattering factors, no anomalous dispersion.

Largest 6 diffraction maxima, low angle first, 5 to 70 degrees two-theta:
- 2θ 18.06, intensity 35
- 2θ 36.60, intensity 24
- 2θ 37.22, intensity 23
- 2θ 42.62, intensity 100
- 2θ 43.40, intensity 47
- 2θ 62.45, intensity 53

Atomic structure:
a = 6.0759 Å, b = 8.3396 Å, c = 2.9639 Å
α = 90.00°, β = 90.00°, γ = 90.00°
Fractional coordinates of all 16 atoms:
Li 0.0000 0.0000 0.0000
Li 0.5000 0.5000 0.0000
Ti 0.0000 0.5000 0.0000
Ti 0.2500 0.2500 0.5000
Ti 0.2500 0.7500 0.5000
Ti 0.5000 0.0000 0.0000
Ti 0.7500 0.2500 0.5000
Ti 0.7500 0.7500 0.5000
O 0.0000 0.2392 0.0000
O 0.0000 0.7608 0.0000
O 0.2445 0.0000 0.5000
O 0.2555 0.5000 0.5000
O 0.5000 0.2608 0.0000
O 0.5000 0.7392 0.0000
O 0.7445 0.5000 0.5000
O 0.7555 0.0000 0.5000


Record 3
Starting from a crystal structure in the Materials Project, relaxed with GGA-PBE, the PXRD pattern of Li2TiO3 was calculated for Cu Kα (weighted mean of Kα1 and Kα2).
Neutral-atom scattering factors, no anomalous dispersion.

Largest 6 diffraction maxima, low angle first, 5 to 70 degrees two-theta:
- 2θ 21.30, intensity 55
- 2θ 21.91, intensity 44
- 2θ 22.08, intensity 48
- 2θ 35.31, intensity 100
- 2θ 51.41, intensity 26
- 2θ 52.62, intensity 25

Atomic structure:
a = 5.0382 Å, b = 5.0871 Å, c = 7.6232 Å
α = 70.80°, β = 89.56°, γ = 61.89°
Fractional coordinates of all 18 atoms:
Li 0.1079 0.2705 0.3321
Li 0.2173 0.0529 0.6656
Li 0.3314 0.8459 0.0026
Li 0.6686 0.1541 0.9974
Li 0.7827 0.9471 0.3344
Li 0.8921 0.7295 0.6679
Ti 0.0000 0.5000 0.0000
Ti 0.4620 0.6133 0.3334
Ti 0.5380 0.3867 0.6666
O 0.0791 0.8536 0.1696
O 0.2096 0.6484 0.5082
O 0.2707 0.4438 0.8271
O 0.3648 0.2619 0.1595
O 0.5000 0.0000 0.5000
O 0.6352 0.7381 0.8405
O 0.7293 0.5562 0.1729
O 0.7904 0.3516 0.4918
O 0.9209 0.1464 0.8304


Record 4
Starting from a crystal structure in the Materials Project, relaxed with GGA-PBE, the PXRD pattern of Li2Ti7O15 was calculated for Cu Kα (weighted mean of Kα1 and Kα2).
Neutral-atom scattering factors, no anomalous dispersion.

Largest 6 diffraction maxima, low angle first, 5 to 70 degrees two-theta:
- 2θ 19.69, intensity 72
- 2θ 28.35, intensity 80
- 2θ 28.58, intensity 62
- 2θ 29.73, intensity 100
- 2θ 34.19, intensity 72
- 2θ 41.43, intensity 52

Atomic structure:
a = 9.2438 Å, b = 9.2438 Å, c = 9.5541 Å
α = 98.62°, β = 98.62°, γ = 18.61°
Fractional coordinates of all 24 atoms:
Li 0.1589 0.1589 0.2235
Li 0.8411 0.8411 0.7765
Ti 0.0000 0.0000 0.5000
Ti 0.1894 0.1894 0.8990
Ti 0.3178 0.3178 0.4489
Ti 0.4962 0.4962 0.8394
Ti 0.5038 0.5038 0.1606
Ti 0.6822 0.6822 0.5511
Ti 0.8106 0.8106 0.1010
O 0.0000 0.0000 0.0000
O 0.0126 0.0126 0.7110
O 0.1874 0.1874 0.6842
O 0.2006 0.2006 0.4247
O 0.2306 0.2306 0.0971
O 0.3747 0.3747 0.1075
O 0.4021 0.4021 0.8025
O 0.4268 0.4268 0.4917
O 0.5732 0.5732 0.5083
O 0.5979 0.5979 0.1975
O 0.6253 0.6253 0.8925
O 0.7694 0.7694 0.9029
O 0.7994 0.7994 0.5753
O 0.8126 0.8126 0.3158
O 0.9874 0.9874 0.2890


Record 5
Starting from a crystal structure in the Materials Project, relaxed with GGA-PBE, the PXRD pattern of Li2Ti4O9 was calculated for Cu Kα (weighted mean of Kα1 and Kα2).
Neutral-atom scattering factors, no anomalous dispersion.

Largest 6 diffraction maxima, low angle first, 5 to 70 degrees two-theta:
- 2θ 20.21, intensity 100
- 2θ 32.75, intensity 94
- 2θ 35.39, intensity 37
- 2θ 40.49, intensity 43
- 2θ 48.98, intensity 37
- 2θ 53.40, intensity 46

Atomic structure:
a = 5.0731 Å, b = 5.0731 Å, c = 13.9751 Å
α = 90.00°, β = 90.00°, γ = 120.00°
Fractional coordinates of all 30 atoms:
Li 0.0000 0.0000 0.1442
Li 0.0000 0.0000 0.3558
Li 0.0000 0.0000 0.6442
Li 0.0000 0.0000 0.8558
Ti 0.3333 0.6667 0.0249
Ti 0.3333 0.6667 0.3124
Ti 0.3333 0.6667 0.5249
Ti 0.3333 0.6667 0.8124
Ti 0.6667 0.3333 0.1876
Ti 0.6667 0.3333 0.4751
Ti 0.6667 0.3333 0.6876
Ti 0.6667 0.3333 0.9751
O 0.0000 0.3421 0.2500
O 0.0000 0.6579 0.7500
O 0.0249 0.3840 0.9186
O 0.0249 0.6409 0.4186
O 0.3421 0.0000 0.2500
O 0.3421 0.3421 0.7500
O 0.3591 0.3840 0.4186
O 0.3591 0.9751 0.9186
O 0.3840 0.0249 0.5814
O 0.3840 0.3591 0.0814
O 0.6160 0.6409 0.9186
O 0.6160 0.9751 0.4186
O 0.6409 0.0249 0.0814
O 0.6409 0.6160 0.5814
O 0.6579 0.0000 0.7500
O 0.6579 0.6579 0.2500
O 0.9751 0.3591 0.5814
O 0.9751 0.6160 0.0814


Record 6
Starting from a crystal structure in the Materials Project, relaxed with GGA-PBE, the PXRD pattern of Li3Ti4O8 was calculated for Cu Kα (weighted mean of Kα1 and Kα2).
Neutral-atom scattering factors, no anomalous dispersion.

Largest 6 diffraction maxima, low angle first, 5 to 70 degrees two-theta:
- 2θ 19.16, intensity 100
- 2θ 19.84, intensity 100
- 2θ 31.57, intensity 42
- 2θ 32.85, intensity 46
- 2θ 35.44, intensity 56
- 2θ 50.10, intensity 43

Atomic structure:
a = 5.1262 Å, b = 2.9457 Å, c = 9.9325 Å
α = 90.00°, β = 92.44°, γ = 90.00°
Fractional coordinates of all 15 atoms:
Li 0.0000 0.0000 0.0000
Li 0.1597 0.5000 0.8179
Li 0.6443 0.0000 0.4471
Ti 0.0340 0.0000 0.2699
Ti 0.1211 0.5000 0.5383
Ti 0.5144 0.5000 0.0484
Ti 0.6339 0.0000 0.7662
O 0.2092 0.5000 0.1591
O 0.2830 0.0000 0.4297
O 0.3505 0.0000 0.9204
O 0.4135 0.5000 0.6774
O 0.7290 0.0000 0.1324
O 0.8058 0.5000 0.8875
O 0.8542 0.5000 0.3780
O 0.9116 0.0000 0.6324


Record 7
Starting from a crystal structure in the Materials Project, relaxed with GGA-PBE, the PXRD pattern of Li2TiO3 was calculated for Cu Kα (weighted mean of Kα1 and Kα2).
Neutral-atom scattering factors, no anomalous dispersion.

Largest 6 diffraction maxima, low angle first, 5 to 70 degrees two-theta:
- 2θ 20.90, intensity 100
- 2θ 21.91, intensity 80
- 2θ 28.56, intensity 47
- 2θ 43.58, intensity 88
- 2θ 43.71, intensity 84
- 2θ 43.83, intensity 87

Atomic structure:
a = 5.0382 Å, b = 5.0871 Å, c = 7.6232 Å
α = 70.80°, β = 89.56°, γ = 61.89°
Fractional coordinates of all 18 atoms:
Li 0.1079 0.1026 0.3321
Li 0.2173 0.2185 0.6656
Li 0.3314 0.3485 0.0026
Li 0.6686 0.6515 0.9974
Li 0.7827 0.7815 0.3344
Li 0.8921 0.8974 0.6679
Ti 0.0000 0.0000 0.0000
Ti 0.4620 0.4467 0.3334
Ti 0.5380 0.5533 0.6666
O 0.0791 0.5232 0.1696
O 0.2096 0.6566 0.5082
O 0.2707 0.7710 0.8271
O 0.3648 0.9214 0.1595
O 0.5000 0.0000 0.5000
O 0.6352 0.0786 0.8405
O 0.7293 0.2290 0.1729
O 0.7904 0.3434 0.4918
O 0.9209 0.4768 0.8304


Record 8
Starting from a crystal structure in the Materials Project, relaxed with GGA-PBE, the PXRD pattern of Li4Ti11O24 was calculated for Cu Kα (weighted mean of Kα1 and Kα2).
Neutral-atom scattering factors, no anomalous dispersion.

Largest 6 diffraction maxima, low angle first, 5 to 70 degrees two-theta:
- 2θ 19.82, intensity 100
- 2θ 33.01, intensity 32
- 2θ 35.48, intensity 18
- 2θ 36.28, intensity 24
- 2θ 39.84, intensity 21
- 2θ 51.07, intensity 30

Atomic structure:
a = 5.0567 Å, b = 8.9162 Å, c = 9.6458 Å
α = 89.96°, β = 89.88°, γ = 89.96°
Fractional coordinates of all 39 atoms:
Li 0.0000 0.0000 0.0000
Li 0.0001 0.3352 0.9999
Li 0.3706 0.3368 0.4961
Li 0.4577 0.1674 0.1094
Ti 0.4047 0.6692 0.8251
Ti 0.4267 0.0017 0.8267
Ti 0.4267 0.3310 0.8313
Ti 0.4565 0.4963 0.1034
Ti 0.4680 0.8405 0.1055
Ti 0.9075 0.5038 0.6025
Ti 0.9110 0.8348 0.5980
Ti 0.9205 0.1637 0.6018
Ti 0.9398 0.3314 0.3128
Ti 0.9666 0.0055 0.3196
Ti 0.9762 0.6677 0.3240
O 0.1139 0.6675 0.6892
O 0.1183 0.9994 0.6846
O 0.1264 0.8323 0.4248
O 0.1290 0.4979 0.4246
O 0.1380 0.1733 0.4227
O 0.1391 0.3361 0.6719
O 0.2119 0.3513 0.1768
O 0.2171 0.9851 0.1766
O 0.2247 0.1692 0.9110
O 0.2311 0.4941 0.9213
O 0.2330 0.8409 0.9209
O 0.2457 0.6680 0.1866
O 0.6076 0.6678 0.9987
O 0.6125 0.8314 0.7360
O 0.6159 0.5035 0.7366
O 0.6306 0.1690 0.7388
O 0.6319 0.9920 0.9928
O 0.6336 0.3440 0.9950
O 0.7383 0.3340 0.5013
O 0.7376 0.5029 0.2408
O 0.7467 0.8336 0.2394
O 0.7484 0.6659 0.5019
O 0.7494 0.0038 0.5021
O 0.7644 0.1653 0.2411